1.
Starting from DFT lattice parameters and positions (PBE), the X-ray powder pattern of Tb5Nd5Dy was simulated for copper Kα.

Top 10 peaks for 10 to 90 degrees two-theta, by intensity:
two_theta	I (rel.)
33.14	100
29.60	58
30.33	33
42.89	26
54.80	24
27.25	21
29.27	18
29.80	18
28.24	16
60.90	15

Cell and atoms:
abc: 9.977 9.977 7.045
angles: 110.55 110.55 35.22
Atoms (fractional coordinates):
Tb  0.000  0.000  0.000
Tb  0.331  0.331  0.330
Tb  0.377  0.377  0.876
Tb  0.623  0.623  0.124
Tb  0.669  0.669  0.670
Nd  0.175  0.175  0.920
Nd  0.176  0.176  0.431
Nd  0.500  0.500  0.500
Nd  0.824  0.824  0.569
Nd  0.825  0.825  0.080
Dy  0.000  0.000  0.500

2.
Starting from DFT lattice parameters and positions (PBE), the X-ray powder pattern of Pm4Nd2YMg was simulated for copper Kα.

Top 10 peaks for 10 to 90 degrees two-theta, by intensity:
two_theta	I (rel.)
30.44	100
35.40	33
60.50	28
50.69	24
35.08	17
60.07	14
63.34	12
50.93	12
82.58	12
19.54	9

Cell and atoms:
abc: 5.071 5.071 10.233
angles: 90.00 90.00 90.00
Atoms (fractional coordinates):
Pm  0.000  0.500  0.247
Pm  0.000  0.500  0.753
Pm  0.500  0.000  0.247
Pm  0.500  0.000  0.753
Nd  0.000  0.000  0.000
Nd  0.500  0.500  0.500
Y  0.000  0.000  0.500
Mg  0.500  0.500  0.000